This entry pairs a crystal structure of Np3Tl4NiTe8 with its theoretical powder diffractogram. Radiation: CuKα. Structure: a crystal structure in Alexandria, relaxed with PBE.
Kinematic intensities with the Lorentz-polarization factor, no thermal factor.

Cell lengths 8.714, 8.714, 9.650 Å; angles 116.86, 116.86, 59.97 degrees
Fractional positions:
1 Np 0.000 0.000 0.000
2 Np 0.000 0.500 0.000
3 Np 0.500 0.000 0.000
4 Tl 0.000 0.000 0.500
5 Tl 0.000 0.500 0.500
6 Tl 0.500 0.000 0.500
7 Tl 0.500 0.500 0.500
8 Ni 0.500 0.500 0.000
9 Te 0.239 0.239 0.218
10 Te 0.255 0.723 0.200
11 Te 0.276 0.276 0.799
12 Te 0.277 0.745 0.800
13 Te 0.723 0.255 0.200
14 Te 0.724 0.724 0.201
15 Te 0.745 0.277 0.800
16 Te 0.761 0.761 0.782

Most intense lines, 2θ from 10° to 90°, sorted by position:
two_theta	intensity
24.7	7
27.7	100
37.6	38
41.5	35
44.0	6
50.6	19
57.2	11
62.0	13
67.4	16
73.1	11